Entry 1:
Theoretical X-ray diffraction stick pattern
Compound: Y2CoCuGe4
Radiation: copper Kα
Structure: a GGA-PBE-relaxed structure
Kinematic intensities with the Lorentz-polarization factor, no thermal factor.

Crystal structure
```
Y2CoCuGe4
1.0
4.2163 0.0000 0.0000
0.0000 2.0563 8.3851
0.0000 -2.0563 8.3851
Y Co Cu Ge
2 1 1 4
Direct
0.0000 0.0000 0.0000
0.5000 0.2157 0.2157
0.0000 0.7924 0.7924
0.5000 0.4385 0.4385
0.0000 0.3576 0.3576
0.0000 0.6574 0.6574
0.5000 0.5765 0.5765
0.5000 0.8545 0.8545
```

Main lines, by angle (10 to 90 degrees two-theta):
30.8°, rel. 9
34.4°, rel. 100
38.6°, rel. 19
42.9°, rel. 25
44.0°, rel. 23
48.5°, rel. 11
49.0°, rel. 11
54.0°, rel. 9
56.2°, rel. 12
60.0°, rel. 10
63.2°, rel. 15
74.8°, rel. 10


Entry 2:
Theoretical X-ray diffraction stick pattern
Compound: BaPmMo
Radiation: copper Kα
Structure: a GGA-PBE-relaxed structure
Kinematic intensities with the Lorentz-polarization factor, no thermal factor.

Crystal structure
```
BaPmMo
1.0
0.0000 3.6829 3.6829
3.6829 0.0000 3.6829
3.6829 3.6829 0.0000
Ba Pm Mo
1 1 1
Direct
0.0000 0.0000 0.0000
0.5000 0.5000 0.5000
0.2500 0.2500 0.2500
```

Main lines, by angle (10 to 90 degrees two-theta):
20.9°, rel. 17
24.2°, rel. 28
34.4°, rel. 100
40.6°, rel. 9
42.5°, rel. 9
49.5°, rel. 18
54.3°, rel. 4
55.8°, rel. 12
61.7°, rel. 36
72.6°, rel. 11
77.8°, rel. 6
82.9°, rel. 16


Entry 3:
Theoretical X-ray diffraction stick pattern
Compound: ErAgPbS3
Radiation: copper Kα
Structure: a GGA-PBE-relaxed structure
Kinematic intensities with the Lorentz-polarization factor, no thermal factor.

Crystal structure
```
ErAgPbS3
1.0
7.4977 0.0000 0.0000
0.0000 3.9936 0.0000
-2.7113 0.0000 9.3767
Er Ag Pb S
2 2 2 6
Direct
0.1977 0.2500 0.1524
0.8023 0.7500 0.8476
0.3977 0.7500 0.4072
0.6023 0.2500 0.5928
0.2237 0.7500 0.6971
0.7763 0.2500 0.3029
0.0644 0.2500 0.8658
0.2015 0.2500 0.4478
0.4457 0.7500 0.1631
0.5543 0.2500 0.8369
0.7985 0.7500 0.5522
0.9356 0.7500 0.1342
```

Main lines, by angle (10 to 90 degrees two-theta):
18.9°, rel. 35
24.2°, rel. 71
24.7°, rel. 50
25.4°, rel. 39
26.7°, rel. 71
28.4°, rel. 99
32.9°, rel. 85
35.9°, rel. 100
36.8°, rel. 96
41.3°, rel. 35
45.4°, rel. 46
58.1°, rel. 34


Entry 4:
Theoretical X-ray diffraction stick pattern
Compound: YAlHg2
Radiation: copper Kα
Structure: a GGA-PBE-relaxed structure
Kinematic intensities with the Lorentz-polarization factor, no thermal factor.

Crystal structure
```
YAlHg2
1.0
0.0000 3.5751 3.5751
3.5751 0.0000 3.5751
3.5751 3.5751 0.0000
Y Al Hg
1 1 2
Direct
0.0000 0.0000 0.0000
0.7500 0.7500 0.7500
0.2500 0.2500 0.2500
0.5000 0.5000 0.5000
```

Main lines, by angle (10 to 90 degrees two-theta):
21.5°, rel. 35
24.9°, rel. 2
35.5°, rel. 100
41.9°, rel. 20
51.1°, rel. 18
56.1°, rel. 9
63.8°, rel. 37
68.1°, rel. 7
75.2°, rel. 12
79.3°, rel. 7
86.0°, rel. 17
90.0°, rel. 3


Entry 5:
Theoretical X-ray diffraction stick pattern
Compound: KTbOsS4
Radiation: copper Kα
Structure: a GGA-PBE-relaxed structure
Kinematic intensities with the Lorentz-polarization factor, no thermal factor.

Crystal structure
```
KTbOsS4
1.0
6.5611 0.0000 0.0000
0.0000 6.5223 0.0000
-2.9017 0.0000 8.1673
K Tb Os S
2 2 2 8
Direct
0.2362 0.0000 0.0479
0.7638 0.5000 0.9521
0.2075 0.0143 0.5463
0.7925 0.5143 0.4537
0.2842 0.5317 0.3560
0.7158 0.0317 0.6440
0.0011 0.2582 0.7081
0.0155 0.2779 0.2913
0.4345 0.4501 0.1684
0.4901 0.3664 0.5906
0.5099 0.8664 0.4094
0.5655 0.9501 0.8316
0.9845 0.7779 0.7087
0.9989 0.7582 0.2919
```

Main lines, by angle (10 to 90 degrees two-theta):
10.8°, rel. 100
14.8°, rel. 9
17.4°, rel. 43
25.7°, rel. 41
27.3°, rel. 20
29.5°, rel. 11
30.5°, rel. 18
32.9°, rel. 28
33.1°, rel. 13
40.2°, rel. 22
44.4°, rel. 16
47.4°, rel. 12


Entry 6:
Theoretical X-ray diffraction stick pattern
Compound: Ag2HgPtSeS3
Radiation: copper Kα
Structure: a GGA-PBE-relaxed structure
Kinematic intensities with the Lorentz-polarization factor, no thermal factor.

Crystal structure
```
Ag2HgPtSeS3
1.0
4.0285 -3.9578 0.0000
4.0285 3.9578 0.0000
-3.9830 0.0000 6.1193
Ag Hg Pt Se S
2 1 1 1 3
Direct
0.2381 0.7619 0.0000
0.7619 0.2381 0.0000
0.0016 0.0016 0.4906
0.5091 0.5091 0.4782
0.4044 0.4044 0.7352
0.1468 0.5955 0.2410
0.5955 0.1468 0.2410
0.8435 0.8435 0.7290
```

Main lines, by angle (10 to 90 degrees two-theta):
26.4°, rel. 52
26.6°, rel. 47
26.8°, rel. 100
29.2°, rel. 18
31.7°, rel. 31
43.5°, rel. 40
43.7°, rel. 38
45.0°, rel. 17
45.9°, rel. 17
50.3°, rel. 25
53.3°, rel. 14
53.7°, rel. 14


Entry 7:
Theoretical X-ray diffraction stick pattern
Compound: TbHoNO
Radiation: copper Kα
Structure: a GGA-PBE-relaxed structure
Kinematic intensities with the Lorentz-polarization factor, no thermal factor.

Crystal structure
```
TbHoNO
1.0
6.6081 0.0000 0.0000
0.0000 8.0504 0.0000
0.0000 0.0000 4.9144
Tb Ho N O
4 4 4 4
Direct
0.0688 0.1230 0.0000
0.4312 0.1230 0.5000
0.5688 0.8770 0.0000
0.9312 0.8770 0.5000
0.0833 0.6258 0.0002
0.4167 0.6258 0.5002
0.5833 0.3742 0.0002
0.9167 0.3742 0.5002
0.0721 0.6229 0.4991
0.4279 0.6229 0.9991
0.5721 0.3771 0.4991
0.9279 0.3771 0.9991
0.0924 0.1353 0.5000
0.4076 0.1353 0.0000
0.5924 0.8647 0.5000
0.9076 0.8647 0.0000
```

Main lines, by angle (10 to 90 degrees two-theta):
25.9°, rel. 34
27.0°, rel. 23
31.8°, rel. 100
32.7°, rel. 39
36.6°, rel. 32
45.0°, rel. 17
45.4°, rel. 15
47.0°, rel. 30
56.7°, rel. 17
59.4°, rel. 15
61.0°, rel. 27
62.8°, rel. 15


Entry 8:
Theoretical X-ray diffraction stick pattern
Compound: Dy2HoTmIn2
Radiation: copper Kα
Structure: a GGA-PBE-relaxed structure
Kinematic intensities with the Lorentz-polarization factor, no thermal factor.

Crystal structure
```
Dy2HoTmIn2
1.0
5.3653 0.0000 0.0000
-2.6826 4.6465 0.0000
0.0000 0.0000 6.7052
Dy Ho Tm In
2 1 1 2
Direct
0.0000 0.0000 0.2503
0.0000 0.0000 0.7497
0.3333 0.6667 0.0000
0.6667 0.3333 0.5000
0.3333 0.6667 0.5000
0.6667 0.3333 0.0000
```

Main lines, by angle (10 to 90 degrees two-theta):
32.9°, rel. 96
33.4°, rel. 100
43.2°, rel. 7
47.6°, rel. 34
54.8°, rel. 8
59.4°, rel. 35
59.7°, rel. 19
65.7°, rel. 28
70.2°, rel. 12
79.7°, rel. 15
85.3°, rel. 14
89.2°, rel. 6


Repeat the eighth record exactly.
Theoretical X-ray diffraction stick pattern
Compound: Dy2HoTmIn2
Radiation: copper Kα
Structure: a GGA-PBE-relaxed structure
Kinematic intensities with the Lorentz-polarization factor, no thermal factor.

Crystal structure
```
Dy2HoTmIn2
1.0
5.3653 0.0000 0.0000
-2.6826 4.6465 0.0000
0.0000 0.0000 6.7052
Dy Ho Tm In
2 1 1 2
Direct
0.0000 0.0000 0.2503
0.0000 0.0000 0.7497
0.3333 0.6667 0.0000
0.6667 0.3333 0.5000
0.3333 0.6667 0.5000
0.6667 0.3333 0.0000
```

Main lines, by angle (10 to 90 degrees two-theta):
32.9°, rel. 96
33.4°, rel. 100
43.2°, rel. 7
47.6°, rel. 34
54.8°, rel. 8
59.4°, rel. 35
59.7°, rel. 19
65.7°, rel. 28
70.2°, rel. 12
79.7°, rel. 15
85.3°, rel. 14
89.2°, rel. 6


Please write out number 4 again, unchanged.
Theoretical X-ray diffraction stick pattern
Compound: YAlHg2
Radiation: copper Kα
Structure: a GGA-PBE-relaxed structure
Kinematic intensities with the Lorentz-polarization factor, no thermal factor.

Crystal structure
```
YAlHg2
1.0
0.0000 3.5751 3.5751
3.5751 0.0000 3.5751
3.5751 3.5751 0.0000
Y Al Hg
1 1 2
Direct
0.0000 0.0000 0.0000
0.7500 0.7500 0.7500
0.2500 0.2500 0.2500
0.5000 0.5000 0.5000
```

Main lines, by angle (10 to 90 degrees two-theta):
21.5°, rel. 35
24.9°, rel. 2
35.5°, rel. 100
41.9°, rel. 20
51.1°, rel. 18
56.1°, rel. 9
63.8°, rel. 37
68.1°, rel. 7
75.2°, rel. 12
79.3°, rel. 7
86.0°, rel. 17
90.0°, rel. 3